MgCo6Ag2P6H4O24: calculated X-ray diffraction stick pattern (λ = 1.5418 Å (Cu Kα)), based on a crystal structure in the Materials Project, relaxed with GGA+U.

Atomic structure:
Cell lengths 6.524, 8.936, 8.999 Å; angles 85.85, 74.32, 72.78 degrees
Atoms (fractional coordinates):
1 Mg 0.000 0.000 0.000
2 Co 0.159 0.517 0.797
3 Co 0.404 0.981 0.246
4 Co 0.405 0.761 0.863
5 Co 0.575 0.308 0.179
6 Co 0.795 0.304 0.450
7 Co 0.939 0.607 0.532
8 Ag 0.282 0.591 0.152
9 Ag 0.712 0.601 0.126
10 P 0.127 0.270 0.083
11 P 0.291 0.247 0.502
12 P 0.438 0.675 0.498
13 P 0.689 0.419 0.811
14 P 0.816 0.862 0.829
15 P 0.917 0.914 0.299
16 H 0.231 0.211 0.773
17 H 0.370 0.919 0.574
18 H 0.775 0.168 0.751
19 H 0.841 0.941 0.551
20 O 0.019 0.757 0.888
21 O 0.082 0.358 0.463
22 O 0.108 0.441 0.024
23 O 0.135 0.935 0.188
24 O 0.154 0.163 0.946
25 O 0.248 0.600 0.562
26 O 0.285 0.275 0.678
27 O 0.313 0.074 0.477
28 O 0.332 0.204 0.152
29 O 0.405 0.810 0.620
30 O 0.436 0.758 0.343
31 O 0.458 0.529 0.809
32 O 0.500 0.293 0.408
33 O 0.596 0.844 0.942
34 O 0.665 0.552 0.490
35 O 0.705 0.341 0.964
36 O 0.743 0.277 0.693
37 O 0.744 0.979 0.201
38 O 0.830 0.031 0.841
39 O 0.830 0.827 0.661
40 O 0.855 0.016 0.449
41 O 0.863 0.511 0.754
42 O 0.910 0.271 0.212
43 O 0.939 0.741 0.339

Most intense lines, 2θ from 5° to 70°, in order of falling intensity:
2θ/deg, Rel. int.
10.4, 100.0
10.2, 47.2
32.9, 39.3
31.0, 38.4
32.6, 35.2
31.4, 29.8
33.1, 27.4
29.5, 26.5
35.2, 22.0
38.0, 21.3
33.2, 19.6
30.2, 18.8

=====

Co3Ag2P3HO12: calculated X-ray diffraction stick pattern (λ = 1.5418 Å (Cu Kα)), based on a crystal structure in the Materials Project, relaxed with GGA+U.

Atomic structure:
Cell lengths 9.187, 9.187, 10.942 Å; angles 126.49, 126.49, 42.87 degrees
Atoms (fractional coordinates):
1 Co 0.007 0.993 0.500
2 Co 0.113 0.610 0.613
3 Co 0.217 0.235 0.729
4 Co 0.235 0.217 0.229
5 Co 0.610 0.113 0.113
6 Co 0.993 0.007 0.000
7 Ag 0.122 0.614 0.114
8 Ag 0.474 0.729 0.315
9 Ag 0.614 0.122 0.614
10 Ag 0.729 0.474 0.815
11 P 0.267 0.958 0.866
12 P 0.433 0.440 0.937
13 P 0.440 0.433 0.437
14 P 0.782 0.798 0.291
15 P 0.798 0.782 0.791
16 P 0.958 0.267 0.366
17 H 0.490 0.785 0.615
18 H 0.785 0.490 0.115
19 O 0.101 0.124 0.251
20 O 0.101 0.127 0.483
21 O 0.124 0.101 0.751
22 O 0.127 0.101 0.983
23 O 0.298 0.690 0.026
24 O 0.302 0.731 0.770
25 O 0.318 0.399 0.466
26 O 0.334 0.387 0.750
27 O 0.342 0.682 0.487
28 O 0.387 0.334 0.250
29 O 0.399 0.318 0.966
30 O 0.497 0.916 0.958
31 O 0.537 0.912 0.256
32 O 0.538 0.890 0.688
33 O 0.682 0.342 0.987
34 O 0.690 0.298 0.526
35 O 0.731 0.302 0.270
36 O 0.822 0.907 0.972
37 O 0.840 0.885 0.250
38 O 0.885 0.840 0.750
39 O 0.890 0.538 0.188
40 O 0.907 0.822 0.472
41 O 0.912 0.537 0.756
42 O 0.916 0.497 0.458

Most intense lines, 2θ from 5° to 70°, in order of falling intensity:
2θ/deg, Rel. int.
31.7, 100.0
31.3, 72.4
32.7, 45.1
51.3, 28.5
34.2, 28.3
22.0, 25.3
28.6, 23.8
56.6, 18.5
34.6, 14.6
27.1, 13.7
39.2, 13.5
15.5, 12.3

=====

La4Sm4Co7AgO24: calculated X-ray diffraction stick pattern (λ = 1.5418 Å (Cu Kα)), based on a crystal structure in the Materials Project, relaxed with GGA+U.

Atomic structure:
Cell lengths 7.682, 7.682, 7.655 Å; angles 90.10, 90.10, 90.06 degrees
Atoms (fractional coordinates):
1 La 0.000 0.000 0.000
2 La 0.000 0.503 0.000
3 La 0.503 0.000 0.000
4 La 0.504 0.504 0.505
5 Sm 0.000 0.000 0.505
6 Sm 0.000 0.504 0.505
7 Sm 0.504 0.000 0.505
8 Sm 0.504 0.504 0.000
9 Co 0.252 0.252 0.752
10 Co 0.252 0.752 0.253
11 Co 0.252 0.752 0.752
12 Co 0.752 0.252 0.253
13 Co 0.752 0.252 0.752
14 Co 0.752 0.752 0.253
15 Co 0.752 0.752 0.751
16 Ag 0.252 0.252 0.252
17 O 0.000 0.752 0.258
18 O 0.001 0.252 0.748
19 O 0.006 0.751 0.748
20 O 0.249 0.249 0.514
21 O 0.250 0.754 0.503
22 O 0.252 0.001 0.748
23 O 0.252 0.503 0.752
24 O 0.252 0.514 0.254
25 O 0.252 0.990 0.259
26 O 0.254 0.750 0.002
27 O 0.255 0.255 0.991
28 O 0.498 0.752 0.753
29 O 0.503 0.252 0.752
30 O 0.504 0.752 0.253
31 O 0.514 0.252 0.254
32 O 0.749 0.749 0.004
33 O 0.750 0.254 0.002
34 O 0.751 0.006 0.748
35 O 0.752 0.000 0.258
36 O 0.752 0.498 0.753
37 O 0.752 0.504 0.253
38 O 0.754 0.250 0.503
39 O 0.755 0.755 0.501
40 O 0.990 0.252 0.259

Most intense lines, 2θ from 5° to 70°, in order of falling intensity:
2θ/deg, Rel. int.
33.0, 100.0
33.1, 49.6
58.9, 33.1
47.3, 31.1
59.0, 18.8
40.7, 16.6
47.5, 15.3
23.2, 14.8
69.2, 9.1
69.3, 9.0
69.4, 9.0
40.8, 5.5